(1)
# YTh2Ir9
Theoretical X-ray diffraction stick pattern, Cu Kα (λ = 1.5418 Å). Input: a structure optimized by DFT (PBE).
Intensities are scaled so that the largest is 100.

Main lines, in order of falling intensity (2θ = 10–90°):
2theta  I_rel  hkl
39.30  100  1 1 6
42.55  51  2 0 5
39.07  32  0 2 1
70.48  30  2 2 0
41.93  30  0 1 11
33.53  26  1 1 0
63.83  24  3 0 6
40.42  23  0 0 12
33.02  23  0 1 8
19.46  20  1 0 1

Atomic structure:
abc: 5.3445 5.3445 26.7803
angles: 90.00 90.00 120.00
Space group R-3m (No. 166, hexagonal axes)
Symmetry-distinct sites (fractional):
Y (0.0000, 0.0000, 0.0000) (multiplicity 3)
Th (0.0000, 0.0000, 0.1378) (multiplicity 6)
Ir (0.0000, 0.0000, 0.3326) (multiplicity 6)
Ir (0.0000, 0.0000, 0.5000) (multiplicity 3)
Ir (0.0000, 0.5000, 0.0811) (multiplicity 18)

(2)
# ThZn4Ir
Theoretical X-ray diffraction stick pattern, Cu Kα (λ = 1.5418 Å). Input: a structure optimized by DFT (PBE).
Intensities are scaled so that the largest is 100.

Main lines, in order of falling intensity (2θ = 10–90°):
2theta  I_rel  hkl
40.10  100  3 1 1
34.00  70  2 2 0
64.97  32  5 1 1
60.84  27  4 2 2
71.56  23  4 4 0
20.63  20  1 1 1
41.96  13  2 2 2
81.64  12  6 2 0
85.34  11  5 3 3
53.56  6  3 3 1

Atomic structure:
abc: 7.4586 7.4586 7.4586
angles: 90.00 90.00 90.00
Space group F-43m (No. 216)
Symmetry-distinct sites (fractional):
Th (0.0000, 0.0000, 0.0000) (multiplicity 4)
Zn (0.1231, 0.1231, 0.3769) (multiplicity 16)
Ir (0.2500, 0.2500, 0.7500) (multiplicity 4)

Question: Number 1 is which compound?
Answer: YTh2Ir9